Simulated XRD peak list of MnPtF5 for CuKα, from DFT lattice parameters and positions (PBE+U).
No peak broadening, texture or thermal motion is included.

Top 12 peaks for 10 to 80 degrees two-theta, most intense first:
| two_theta | Rel. int. |
| --- | --- |
| 25.5 | 100 |
| 22.2 | 74 |
| 18.0 | 61 |
| 28.6 | 34 |
| 36.5 | 31 |
| 52.4 | 29 |
| 33.9 | 26 |
| 54.3 | 24 |
| 34.2 | 23 |
| 48.8 | 23 |
| 23.8 | 20 |
| 45.2 | 19 |

Cell lengths 5.516, 5.516, 8.418 Å; angles 112.84, 112.84, 68.95 degrees
Element x y z (fractional)
1 Mn 0.028 0.972 0.750
2 Mn 0.972 0.028 0.250
3 Pt 0.500 0.500 0.000
4 Pt 0.500 0.500 0.500
5 F 0.160 0.777 0.042
6 F 0.209 0.300 0.355
7 F 0.223 0.840 0.458
8 F 0.300 0.209 0.855
9 F 0.376 0.624 0.750
10 F 0.624 0.376 0.250
11 F 0.700 0.791 0.145
12 F 0.777 0.160 0.542
13 F 0.791 0.700 0.645
14 F 0.840 0.223 0.958